[1]
This entry pairs a crystal structure of CaMg14C with its theoretical X-ray powder pattern. Radiation: copper Kα. Structure: a structure optimized by DFT (GGA-PBE).
Kinematic intensities with the Lorentz-polarization factor, no thermal factor.

Atomic structure:
a = 10.410 Å, b = 6.074 Å, c = 11.460 Å
α = 90.00°, β = 90.00°, γ = 90.00°
Space group Amm2 (No. 38)
One atom of each set of equivalent atoms:
Ca  0.000  0.000  0.000
Mg  0.000  0.227  0.268
Mg  0.151  0.000  0.587
Mg  0.260  0.000  0.138
Mg  0.260  0.247  0.879
Mg  0.500  0.000  0.483
Mg  0.500  0.000  0.974
Mg  0.500  0.246  0.723
C  0.000  0.000  0.430

Main lines, low angle first (10 to 80 degrees two-theta):
index	2theta	d/Å	I/Imax
3 1 1	30.68	2.914	21.4
0 2 2	33.39	2.683	64.5
4 0 0	34.47	2.602	45.9
2 0 4	35.77	2.510	81.9
2 2 2	37.72	2.385	100.0
4 1 1	38.44	2.342	17.6
4 2 2	48.74	1.868	19.9
6 2 2	63.89	1.457	18.4
4 2 6	68.30	1.373	16.7
2 4 4	72.79	1.299	17.3


[2]
This entry pairs a crystal structure of SiC with its theoretical X-ray powder pattern. Radiation: copper Kα. Structure: a structure optimized by DFT (GGA-PBE).
Kinematic intensities with the Lorentz-polarization factor, no thermal factor.

Atomic structure:
a = 3.0955 Å, b = 3.0955 Å, c = 53.1296 Å
α = 90.00°, β = 90.00°, γ = 120.00°
Space group R3m (No. 160, hexagonal axes)
One atom of each set of equivalent atoms:
Si  0.0000  0.0000  0.0000
Si  0.0000  0.0000  0.0953
Si  0.0000  0.0000  0.2381
Si  0.0000  0.0000  0.3810
Si  0.0000  0.0000  0.5238
Si  0.0000  0.0000  0.6191
Si  0.0000  0.0000  0.8095
C  0.0000  0.0000  0.0357
C  0.0000  0.0000  0.1310
C  0.0000  0.0000  0.2739
C  0.0000  0.0000  0.4168
C  0.0000  0.0000  0.5595
C  0.0000  0.0000  0.6548
C  0.0000  0.0000  0.8453

Main lines, low angle first (10 to 80 degrees two-theta):
index	2theta	d/Å	I/Imax
1 0 4	34.12	2.628	18.6
0 1 5	34.51	2.599	24.0
0 0 21	35.50	2.529	100.0
0 1 8	36.13	2.486	26.1
1 0 10	37.58	2.393	18.7
0 1 11	38.40	2.344	14.6
0 1 14	41.23	2.190	11.8
1 1 0	59.74	1.548	61.3
0 1 29	61.28	1.513	9.0
1 1 21	71.45	1.320	46.9


[3]
This entry pairs a crystal structure of Nb2Co4P3 with its theoretical X-ray powder pattern. Radiation: copper Kα. Structure: a structure optimized by DFT (GGA-PBE).
Kinematic intensities with the Lorentz-polarization factor, no thermal factor.

Atomic structure:
a = 11.9182 Å, b = 11.9182 Å, c = 3.6072 Å
α = 90.00°, β = 90.00°, γ = 120.00°
Space group P-62m (No. 189)
One atom of each set of equivalent atoms:
Nb  0.0000  0.4477  0.0000
Nb  0.0000  0.8239  0.5000
Nb  0.3333  0.6667  0.0000
Co  0.0000  0.0000  0.0000
Co  0.0000  0.2758  0.5000
Co  0.1291  0.6460  0.5000
Co  0.1786  0.3706  0.0000
P  0.0000  0.1758  0.0000
P  0.0000  0.6503  0.0000
P  0.1718  0.4839  0.5000

Main lines, low angle first (10 to 80 degrees two-theta):
index	2theta	d/Å	I/Imax
2 2 0	29.99	2.980	8.9
3 0 1	36.08	2.490	7.3
2 2 1	39.22	2.297	100.0
4 1 0	40.03	2.252	12.2
3 1 1	40.22	2.242	29.9
4 1 1	47.60	1.910	8.2
5 1 0	49.15	1.854	9.6
0 0 2	50.61	1.804	22.3
6 0 0	53.25	1.720	20.4
6 0 2	76.53	1.245	13.3